# 1
The following is a simulated powder diffraction line list of V5CrTc6. It was derived from a GGA-PBE-relaxed structure, using Cu Kα, 1.54184 Å.

Cell and atoms:
```
data_V5CrTc6
_cell_length_a 4.270
_cell_length_b 6.046
_cell_length_c 12.772
_cell_angle_alpha 90.00
_cell_angle_beta 90.00
_cell_angle_gamma 90.00
_space_group_name_H-M_alt 'I m m m'
_space_group_IT_number 71
_space_group_name_Hall '-I 2 2'
loop_
_atom_site_label
_atom_site_fract_x
_atom_site_fract_y
_atom_site_fract_z
_atom_site_occupancy
V1 0.000 0.000 0.000 1
V2 0.000 0.000 0.335 1
V3 0.000 0.500 0.333 1
Cr1 0.000 0.500 0.000 1
Tc1 0.000 0.250 0.166 1
Tc2 0.000 0.250 0.500 1
```

Peak list (10 most intense, 10 to 90 degrees two-theta, most intense first)
- 42.3°, I = 100.0, (2 0 0)
- 77.4°, I = 24.7, (3 2 3)
- 42.5°, I = 19.8, (0 0 6)
- 29.6°, I = 17.4, (1 0 3)
- 61.5°, I = 12.5, (2 0 6)
- 77.6°, I = 12.2, (1 2 9)
- 61.3°, I = 6.3, (0 4 0)
- 69.7°, I = 3.3, (3 0 3)
- 52.5°, I = 2.5, (2 2 0)
- 52.6°, I = 2.5, (0 2 6)

---

# 2
The following is a simulated powder diffraction line list of Pm2ErI2N2. It was derived from a GGA-PBE-relaxed structure, using Cu Kα, 1.54184 Å.

Cell and atoms:
```
data_Pm2ErI2N2
_cell_length_a 4.450
_cell_length_b 4.450
_cell_length_c 19.575
_cell_angle_alpha 90.00
_cell_angle_beta 90.00
_cell_angle_gamma 90.00
_space_group_name_H-M_alt 'I 4/m m m'
_space_group_IT_number 139
_space_group_name_Hall '-I 4 2'
loop_
_atom_site_label
_atom_site_fract_x
_atom_site_fract_y
_atom_site_fract_z
_atom_site_occupancy
Pm1 0.000 0.000 0.075 1
Er1 0.000 0.000 0.500 1
I1 0.000 0.000 0.338 1
N1 0.000 0.500 0.000 1
```

Peak list (10 most intense, 10 to 90 degrees two-theta, most intense first)
- 28.4°, I = 100.0, (1 1 0)
- 30.4°, I = 77.2, (1 0 5)
- 38.0°, I = 77.0, (1 0 7)
- 56.8°, I = 47.9, (2 1 7)
- 40.5°, I = 44.5, (2 0 0)
- 51.5°, I = 35.4, (2 1 5)
- 66.4°, I = 18.2, (3 1 0)
- 64.3°, I = 16.6, (1 1 12)
- 86.1°, I = 15.1, (3 2 7)
- 58.7°, I = 14.8, (2 2 0)

---

# 3
The following is a simulated powder diffraction line list of Sc3CdC. It was derived from a GGA-PBE-relaxed structure, using Cu Kα, 1.54184 Å.

Cell and atoms:
```
data_Sc3CdC
_cell_length_a 3.295
_cell_length_b 4.550
_cell_length_c 6.490
_cell_angle_alpha 90.00
_cell_angle_beta 90.00
_cell_angle_gamma 90.00
_space_group_name_H-M_alt 'P m m m'
_space_group_IT_number 47
_space_group_name_Hall '-P 2 2'
loop_
_atom_site_label
_atom_site_fract_x
_atom_site_fract_y
_atom_site_fract_z
_atom_site_occupancy
Sc1 0.000 0.000 0.000 1
Sc2 0.500 0.500 0.240 1
Cd1 0.000 0.000 0.500 1
C1 0.000 0.500 0.000 1
```

Peak list (10 most intense, 10 to 90 degrees two-theta, most intense first)
- 33.6°, I = 100.0, (1 1 0)
- 33.9°, I = 96.6, (0 1 2)
- 39.0°, I = 76.7, (1 0 2)
- 56.8°, I = 58.1, (1 2 2)
- 39.6°, I = 36.7, (0 2 0)
- 23.9°, I = 31.8, (0 1 1)
- 66.9°, I = 23.9, (2 1 2)
- 67.6°, I = 22.8, (1 1 4)
- 13.6°, I = 17.3, (0 0 1)
- 36.4°, I = 15.9, (1 1 1)

---

# 4
The following is a simulated powder diffraction line list of Pa5Ge2Bi2. It was derived from a GGA-PBE-relaxed structure, using Cu Kα, 1.54184 Å.

Cell and atoms:
```
data_Pa5Ge2Bi2
_cell_length_a 15.575
_cell_length_b 7.809
_cell_length_c 7.794
_cell_angle_alpha 90.00
_cell_angle_beta 90.00
_cell_angle_gamma 90.00
_space_group_name_H-M_alt 'C m c e'
_space_group_IT_number 64
_space_group_name_Hall '-C 2ac 2'
loop_
_atom_site_label
_atom_site_fract_x
_atom_site_fract_y
_atom_site_fract_z
_atom_site_occupancy
Pa1 0.000 0.000 0.000 1
Pa2 0.119 0.174 0.323 1
Ge1 0.000 0.125 0.625 1
Bi1 0.215 0.000 0.000 1
```

Peak list (10 most intense, 10 to 90 degrees two-theta, most intense first)
- 32.5°, I = 100.0, (4 0 2)
- 36.9°, I = 44.7, (1 1 3)
- 34.5°, I = 33.7, (4 2 1)
- 33.0°, I = 28.6, (5 1 1)
- 65.9°, I = 24.2, (9 1 3)
- 25.5°, I = 23.2, (0 2 1)
- 58.3°, I = 20.5, (5 3 3)
- 30.9°, I = 18.9, (3 1 2)
- 52.5°, I = 17.9, (0 4 2)
- 38.8°, I = 16.8, (5 1 2)

---

# 5
The following is a simulated powder diffraction line list of NaNd2PtO5. It was derived from a GGA-PBE-relaxed structure, using Cu Kα, 1.54184 Å.

Cell and atoms:
```
data_NaNd2PtO5
_cell_length_a 6.831
_cell_length_b 6.831
_cell_length_c 5.857
_cell_angle_alpha 90.00
_cell_angle_beta 90.00
_cell_angle_gamma 90.00
_space_group_name_H-M_alt 'P 4/m b m'
_space_group_IT_number 127
_space_group_name_Hall '-P 4 2ab'
loop_
_atom_site_label
_atom_site_fract_x
_atom_site_fract_y
_atom_site_fract_z
_atom_site_occupancy
Na1 0.000 0.000 0.000 1
Nd1 0.177 0.323 0.500 1
Pt1 0.000 0.500 0.000 1
O1 0.000 0.000 0.500 1
O2 0.135 0.635 0.254 1
```

Peak list (10 most intense, 10 to 90 degrees two-theta, most intense first)
- 30.3°, I = 100.0, (2 0 1)
- 18.4°, I = 67.1, (1 1 0)
- 33.1°, I = 47.5, (2 1 1)
- 44.7°, I = 47.3, (3 1 1)
- 30.5°, I = 35.9, (0 0 2)
- 42.8°, I = 35.5, (2 1 2)
- 37.2°, I = 23.8, (2 2 0)
- 48.9°, I = 21.5, (2 2 2)
- 23.9°, I = 20.6, (1 1 1)
- 54.1°, I = 20.0, (2 0 3)

---

# 6
The following is a simulated powder diffraction line list of HoFeB3. It was derived from a GGA-PBE-relaxed structure, using Cu Kα, 1.54184 Å.

Cell and atoms:
```
data_HoFeB3
_cell_length_a 3.112
_cell_length_b 14.329
_cell_length_c 4.690
_cell_angle_alpha 90.00
_cell_angle_beta 90.00
_cell_angle_gamma 90.00
_space_group_name_H-M_alt 'C m c m'
_space_group_IT_number 63
_space_group_name_Hall '-C 2c 2'
loop_
_atom_site_label
_atom_site_fract_x
_atom_site_fract_y
_atom_site_fract_z
_atom_site_occupancy
Ho1 0.000 0.086 0.250 1
Fe1 0.000 0.409 0.250 1
B1 0.000 0.186 0.750 1
B2 0.000 0.287 0.537 1
```

Peak list (10 most intense, 10 to 90 degrees two-theta, most intense first)
- 39.5°, I = 100.0, (1 3 1)
- 12.4°, I = 45.9, (0 2 0)
- 35.2°, I = 29.4, (1 1 1)
- 22.7°, I = 28.4, (0 2 1)
- 37.7°, I = 26.1, (0 6 0)
- 38.4°, I = 24.7, (0 0 2)
- 24.9°, I = 22.9, (0 4 0)
- 54.9°, I = 20.2, (0 6 2)
- 29.4°, I = 17.0, (1 1 0)
- 31.4°, I = 16.8, (0 4 1)